Starting from the PBE geometry in Alexandria, the powder XRD pattern of LiSnP4O12 was calculated for Cu Kα (λ = 1.5418 Å).
Peak positions follow from Bragg's law for the DFT cell and can differ from measured ones.

Crystal structure
```
data_LiSnP4O12
_chemical_formula_sum 'Li2 Sn2 P8 O24'
_symmetry_space_group_name_H-M 'P 1'
_symmetry_Int_Tables_number 1
_symmetry_space_group_name_Hall 'P 1'
_cell_length_a 7.5453
_cell_length_b 8.1671
_cell_length_c 10.1426
_cell_angle_alpha 99.17
_cell_angle_beta 108.27
_cell_angle_gamma 108.98
loop_
_atom_site_label
_atom_site_type_symbol
_atom_site_fract_x
_atom_site_fract_y
_atom_site_fract_z
Li1 Li 0.2442 0.3972 0.2293
Li2 Li 0.7558 0.6028 0.7707
Sn1 Sn 0.5000 0.0000 0.5000
Sn2 Sn 0.5000 0.5000 0.0000
P1 P 0.0093 0.8153 0.3181
P2 P 0.1924 0.2070 0.4653
P3 P 0.2435 0.7944 0.9763
P4 P 0.4888 0.1595 0.1921
P5 P 0.5112 0.8405 0.8079
P6 P 0.7565 0.2056 0.0237
P7 P 0.8076 0.7930 0.5347
P8 P 0.9907 0.1847 0.6819
O1 O 0.0201 0.6962 0.9079
O2 O 0.0367 0.0234 0.3337
O3 O 0.0525 0.2318 0.5504
O4 O 0.1497 0.3021 0.8247
O5 O 0.2198 0.8080 0.3551
O6 O 0.2496 0.3621 0.4084
O7 O 0.2911 0.9981 0.0683
O8 O 0.3227 0.8416 0.8467
O9 O 0.3609 0.1612 0.5641
O10 O 0.3793 0.7226 0.0703
O11 O 0.4566 0.3309 0.1875
O12 O 0.4722 0.8793 0.6621
O13 O 0.5278 0.1207 0.3379
O14 O 0.5434 0.6691 0.8125
O15 O 0.6207 0.2774 0.9297
O16 O 0.6391 0.8388 0.4359
O17 O 0.6773 0.1584 0.1533
O18 O 0.7089 0.0019 0.9317
O19 O 0.7504 0.6379 0.5916
O20 O 0.7802 0.1920 0.6449
O21 O 0.8503 0.6979 0.1753
O22 O 0.9475 0.7682 0.4496
O23 O 0.9633 0.9766 0.6663
O24 O 0.9799 0.3038 0.0921
```

Largest 6 diffraction maxima, in order of rising 2θ, 15 to 90 degrees two-theta:
2θ = 17.43°, I = 76.4, (0 1 1); 2θ = 18.70°, I = 54.6, (1 0 -2); 2θ = 19.26°, I = 52.4, (0 0 2); 2θ = 22.40°, I = 62.2, (1 -2 0); 2θ = 26.94°, I = 77.8, (1 1 1); 2θ = 28.17°, I = 100.0, (1 1 -3)